[1]
For LaCePrTc, a PBE-relaxed structure gives the simulated PXRD pattern in this record (Cu Kα).

Principal peaks in the range 2θ = 15–90°, by intensity:
2θ 30.82, I 100.0, hkl 0 1 5; 2θ 28.38, I 86.0, hkl 1 0 4; 2θ 41.24, I 70.0, hkl 1 1 0; 2θ 55.79, I 51.4, hkl 1 1 9; 2θ 35.87, I 30.8, hkl 0 0 9; 2θ 52.36, I 22.4, hkl 2 0 5; 2θ 68.74, I 19.6, hkl 1 2 5; 2θ 50.82, I 17.0, hkl 0 2 4; 2θ 86.21, I 15.0, hkl 3 0 9; 2θ 67.44, I 14.4, hkl 2 1 4; 2θ 62.72, I 14.1, hkl 0 1 14; 2θ 23.80, I 13.4, hkl 1 0 1

Atomic structure:
```
data_LaCePrTc
_chemical_formula_sum 'La3 Ce3 Pr3 Tc3'
_symmetry_space_group_name_H-M 'R 3 m'
_symmetry_Int_Tables_number 160
_symmetry_space_group_name_Hall 'R 3 -2"'
_cell_length_a 4.3777
_cell_length_b 4.3777
_cell_length_c 22.5285
_cell_angle_alpha 90.00
_cell_angle_beta 90.00
_cell_angle_gamma 120.00
loop_
_atom_site_label
_atom_site_fract_x
_atom_site_fract_y
_atom_site_fract_z
La1 0.0000 0.0000 0.0000
Ce1 0.0000 0.0000 0.5634
Pr1 0.0000 0.0000 0.7923
Tc1 0.0000 0.0000 0.2237
```

[2]
For Sr2CuH6, a PBE-relaxed structure gives the simulated PXRD pattern in this record (Cu Kα).

Principal peaks in the range 2θ = 15–90°, by intensity:
2θ 30.35, I 100.0, hkl 1 0 3; 2θ 32.94, I 45.2, hkl 1 1 0; 2θ 57.22, I 32.0, hkl 2 1 3; 2θ 47.28, I 17.3, hkl 2 0 0; 2θ 52.23, I 14.1, hkl 1 1 6; 2θ 39.35, I 8.2, hkl 0 0 6; 2θ 40.35, I 8.1, hkl 1 0 5; 2θ 63.15, I 7.8, hkl 2 0 6; 2θ 78.69, I 7.0, hkl 3 1 0; 2θ 42.40, I 6.6, hkl 1 1 4; 2θ 77.30, I 6.5, hkl 3 0 3; 2θ 64.14, I 5.7, hkl 1 1 8

Atomic structure:
```
data_Sr2CuH6
_chemical_formula_sum 'Sr4 Cu2 H12'
_symmetry_space_group_name_H-M 'I 4/m m m'
_symmetry_Int_Tables_number 139
_symmetry_space_group_name_Hall '-I 4 2'
_cell_length_a 3.8453
_cell_length_b 3.8453
_cell_length_c 13.7373
_cell_angle_alpha 90.00
_cell_angle_beta 90.00
_cell_angle_gamma 90.00
loop_
_atom_site_label
_atom_site_fract_x
_atom_site_fract_y
_atom_site_fract_z
Sr1 0.0000 0.0000 0.1446
Cu1 0.0000 0.0000 0.5000
H1 0.0000 0.0000 0.3842
H2 0.0000 0.5000 0.0000
H3 0.0000 0.5000 0.2500
```

[3]
For LaAl3Ag10, a PBE-relaxed structure gives the simulated PXRD pattern in this record (Cu Kα).

Principal peaks in the range 2θ = 15–90°, by intensity:
2θ 35.44, I 100.0, hkl 3 3 3; 2θ 40.55, I 48.5, hkl 5 3 1; 2θ 30.37, I 47.1, hkl 4 2 0; 2θ 59.61, I 29.0, hkl 6 6 0; 2θ 38.70, I 27.6, hkl 4 4 0; 2θ 33.35, I 23.1, hkl 4 2 2; 2θ 45.73, I 20.9, hkl 6 2 2; 2θ 70.05, I 18.2, hkl 8 4 4; 2θ 57.76, I 15.1, hkl 6 4 4; 2θ 64.50, I 12.4, hkl 9 1 1; 2θ 60.96, I 11.9, hkl 5 5 5; 2θ 84.20, I 10.8, hkl 9 5 5

Atomic structure:
```
data_LaAl3Ag10
_chemical_formula_sum 'La8 Al24 Ag80'
_symmetry_space_group_name_H-M 'F m -3 m'
_symmetry_Int_Tables_number 225
_symmetry_space_group_name_Hall '-F 4 2 3'
_cell_length_a 13.1615
_cell_length_b 13.1615
_cell_length_c 13.1615
_cell_angle_alpha 90.00
_cell_angle_beta 90.00
_cell_angle_gamma 90.00
loop_
_atom_site_label
_atom_site_fract_x
_atom_site_fract_y
_atom_site_fract_z
La1 0.2500 0.2500 0.2500
Al1 0.0000 0.0000 0.2390
Ag1 0.0000 0.1732 0.3268
Ag2 0.1139 0.1139 0.1139
```

[4]
For PuZrMoIr, a PBE-relaxed structure gives the simulated PXRD pattern in this record (Cu Kα).

Principal peaks in the range 2θ = 15–90°, by intensity:
2θ 37.93, I 100.0, hkl 2 2 0; 2θ 68.52, I 35.6, hkl 4 2 2; 2θ 54.73, I 17.4, hkl 4 0 0; 2θ 22.96, I 17.0, hkl 1 1 1; 2θ 81.09, I 11.3, hkl 4 4 0; 2θ 44.81, I 9.7, hkl 3 1 1; 2θ 60.12, I 4.3, hkl 3 3 1; 2θ 85.66, I 3.4, hkl 5 3 1; 2θ 73.32, I 3.3, hkl 5 1 1; 2θ 26.57, I 0.5, hkl 2 0 0

Atomic structure:
```
data_PuZrMoIr
_chemical_formula_sum 'Pu4 Zr4 Mo4 Ir4'
_symmetry_space_group_name_H-M 'F -4 3 m'
_symmetry_Int_Tables_number 216
_symmetry_space_group_name_Hall 'F -4 2 3'
_cell_length_a 6.7089
_cell_length_b 6.7089
_cell_length_c 6.7089
_cell_angle_alpha 90.00
_cell_angle_beta 90.00
_cell_angle_gamma 90.00
loop_
_atom_site_label
_atom_site_fract_x
_atom_site_fract_y
_atom_site_fract_z
Pu1 0.0000 0.0000 0.0000
Zr1 0.0000 0.0000 0.5000
Mo1 0.2500 0.2500 0.2500
Ir1 0.2500 0.2500 0.7500
```

[5]
For TbAl3B4O12, a PBE-relaxed structure gives the simulated PXRD pattern in this record (Cu Kα).

Principal peaks in the range 2θ = 15–90°, by intensity:
2θ 32.96, I 100.0, hkl 0 0 4; 2θ 15.68, I 70.4, hkl 1 1 0; 2θ 25.11, I 67.4, hkl 2 0 0; 2θ 16.31, I 38.0, hkl 0 0 2; 2θ 20.51, I 37.9, hkl 1 1 -2; 2θ 31.24, I 31.3, hkl 1 3 0; 2θ 39.35, I 27.7, hkl 3 1 0; 2θ 38.27, I 23.6, hkl 0 2 4; 2θ 24.71, I 20.5, hkl 1 1 2; 2θ 55.03, I 18.0, hkl 4 0 -4; 2θ 54.26, I 16.9, hkl 0 2 6; 2θ 48.31, I 16.5, hkl 2 4 1

Atomic structure:
```
data_TbAl3B4O12
_chemical_formula_sum 'Tb4 Al12 B16 O48'
_symmetry_space_group_name_H-M 'C 1 2/c 1'
_symmetry_Int_Tables_number 15
_cell_length_a 7.2700
_cell_length_b 9.3812
_cell_length_c 11.1652
_cell_angle_alpha 90.00
_cell_angle_beta 103.20
_cell_angle_gamma 90.00
loop_
_symmetry_equiv_pos_as_xyz
'x,y,z'
'-x,-y,-z'
'-x,y,-z+1/2'
'x,-y,z+1/2'
'x+1/2,y+1/2,z'
'-x+1/2,-y+1/2,-z'
'-x+1/2,y+1/2,-z+1/2'
'x+1/2,-y+1/2,z+1/2'
loop_
_atom_site_label
_atom_site_fract_x
_atom_site_fract_y
_atom_site_fract_z
Tb1 0.0000 0.0341 0.2500
Al1 0.0000 0.4129 0.7500
Al2 0.0550 0.2485 0.5281
B1 0.1940 0.3110 0.2222
B2 0.2505 0.0280 0.0039
O1 0.0616 0.2349 0.1392
O2 0.0922 0.0947 0.9336
O3 0.0988 0.3960 0.9273
O4 0.1587 0.2654 0.7043
O5 0.1901 0.4561 0.2396
O6 0.2478 0.3799 0.5008
```

[6]
For NbV2Mo6W3, a PBE-relaxed structure gives the simulated PXRD pattern in this record (Cu Kα).

Principal peaks in the range 2θ = 15–90°, by intensity:
2θ 40.36, I 100.0, hkl 1 3 -2; 2θ 40.47, I 99.2, hkl 1 3 2; 2θ 40.14, I 50.8, hkl 2 0 0; 2θ 40.59, I 49.1, hkl 0 0 4; 2θ 73.65, I 33.1, hkl 0 6 4; 2θ 58.56, I 32.8, hkl 2 0 4; 2θ 36.24, I 19.5, hkl 1 3 -1; 2θ 73.02, I 17.0, hkl 3 3 -2; 2θ 73.24, I 16.8, hkl 3 3 2; 2θ 73.37, I 16.7, hkl 2 6 0; 2θ 58.25, I 16.7, hkl 2 0 -4; 2θ 73.85, I 16.4, hkl 1 3 6

Atomic structure:
```
data_NbV2Mo6W3
_chemical_formula_sum 'Nb2 V4 Mo12 W6'
_symmetry_space_group_name_H-M 'C 1 2/m 1'
_symmetry_Int_Tables_number 12
_cell_length_a 4.4926
_cell_length_b 9.4596
_cell_length_c 8.8896
_cell_angle_alpha 90.00
_cell_angle_beta 90.30
_cell_angle_gamma 90.00
loop_
_symmetry_equiv_pos_as_xyz
'x,y,z'
'-x,-y,-z'
'-x,y,-z'
'x,-y,z'
'x+1/2,y+1/2,z'
'-x+1/2,-y+1/2,-z'
'-x+1/2,y+1/2,-z'
'x+1/2,-y+1/2,z'
loop_
_atom_site_label
_atom_site_fract_x
_atom_site_fract_y
_atom_site_fract_z
Nb1 0.0000 0.0000 0.0000
V1 0.0000 0.3314 0.0000
Mo1 0.0003 0.1682 0.2479
Mo2 0.0005 0.5000 0.2472
W1 0.0000 0.0000 0.5000
W2 0.0000 0.3335 0.5000
```

[7]
For HfTi4Se10, a PBE-relaxed structure gives the simulated PXRD pattern in this record (Cu Kα).

Principal peaks in the range 2θ = 15–90°, by intensity:
2θ 31.81, I 100.0, hkl 0 1 5; 2θ 50.84, I 59.2, hkl 1 1 0; 2θ 39.82, I 53.9, hkl 0 1 10; 2θ 78.73, I 19.1, hkl 1 1 20; 2θ 61.25, I 14.6, hkl 2 0 5; 2θ 83.56, I 12.2, hkl 1 2 5; 2θ 66.47, I 11.3, hkl 2 0 10; 2θ 88.26, I 10.7, hkl 1 2 10; 2θ 74.75, I 9.1, hkl 0 2 15; 2θ 27.00, I 7.6, hkl 0 0 10; 2θ 52.85, I 7.5, hkl 1 1 5; 2θ 55.67, I 6.7, hkl 0 0 20

Atomic structure:
```
data_HfTi4Se10
_chemical_formula_sum 'Hf1 Ti4 Se10'
_symmetry_space_group_name_H-M 'P -3 m 1'
_symmetry_Int_Tables_number 164
_symmetry_space_group_name_Hall '-P 3 2"'
_cell_length_a 3.5904
_cell_length_b 3.5904
_cell_length_c 33.0234
_cell_angle_alpha 90.00
_cell_angle_beta 90.00
_cell_angle_gamma 120.00
loop_
_atom_site_label
_atom_site_fract_x
_atom_site_fract_y
_atom_site_fract_z
Hf1 0.0000 0.0000 0.0000
Ti1 0.0000 0.0000 0.2015
Ti2 0.0000 0.0000 0.4000
Se1 0.3333 0.6667 0.0501
Se2 0.3333 0.6667 0.2478
Se3 0.3333 0.6667 0.4463
Se4 0.3333 0.6667 0.6463
Se5 0.3333 0.6667 0.8449
```

[8]
For Na12Au, a PBE-relaxed structure gives the simulated PXRD pattern in this record (Cu Kα).

Principal peaks in the range 2θ = 15–90°, by intensity:
2θ 35.29, I 100.0, hkl 3 1 2; 2θ 29.69, I 84.0, hkl 3 0 1; 2θ 22.89, I 61.2, hkl 2 1 1; 2θ 48.80, I 37.3, hkl 4 3 1; 2θ 59.92, I 34.7, hkl 5 2 3; 2θ 32.60, I 34.4, hkl 2 2 2; 2θ 40.21, I 25.2, hkl 4 1 1; 2θ 18.65, I 23.4, hkl 2 0 0; 2θ 69.90, I 22.9, hkl 7 0 1; 2θ 46.77, I 22.5, hkl 4 2 2; 2θ 56.38, I 20.1, hkl 5 3 0; 2θ 66.66, I 15.7, hkl 6 1 3

Atomic structure:
```
data_Na12Au
_chemical_formula_sum 'Na24 Au2'
_symmetry_space_group_name_H-M 'I m -3'
_symmetry_Int_Tables_number 204
_symmetry_space_group_name_Hall '-I 2 2 3'
_cell_length_a 9.5161
_cell_length_b 9.5161
_cell_length_c 9.5161
_cell_angle_alpha 90.00
_cell_angle_beta 90.00
_cell_angle_gamma 90.00
loop_
_atom_site_label
_atom_site_fract_x
_atom_site_fract_y
_atom_site_fract_z
Na1 0.0000 0.3034 0.1737
Au1 0.0000 0.0000 0.0000
```